(1)
The following is a simulated powder diffraction line list of GePb2S4. It was derived from a crystal structure in the Materials Project, relaxed with PBE, using Cu Kα (λ = 1.5418 Å).

Top 8 peaks for 2θ from 15° to 90°, most intense first:
19.9°, d 4.459, I = 1000, hkl 1 1 1
23.2°, d 3.835, I = 984, hkl 2 0 -2
40.1°, d 2.247, I = 891, hkl 2 3 -3
28.9°, d 3.086, I = 864, hkl 2 2 -1
25.4°, d 3.506, I = 785, hkl 1 2 -2
20.9°, d 4.254, I = 739, hkl 0 2 1
22.3°, d 3.980, I = 713, hkl 1 2 0
26.2°, d 3.395, I = 617, hkl 1 1 -3

Atomic structure:
Cell: 8.1838 9.4072 10.9305 Å, 90.00 114.17 90.00°
Space group P2_1/c (No. 14)
Symmetry-distinct sites (fractional):
1 Ge 0.2163 0.1915 0.0068
2 Pb 0.0926 0.5460 0.8481
3 Pb 0.4666 0.6756 0.6625
4 S 0.0523 0.7043 0.0939
5 S 0.2518 0.0253 0.8713
6 S 0.2822 0.0873 0.2047
7 S 0.4160 0.1336 0.5557

(2)
The following is a simulated powder diffraction line list of Eu2AgAu. It was derived from a crystal structure in the Materials Project, relaxed with PBE, using Cu Kα (λ = 1.5418 Å).

Top 8 peaks for 2θ from 15° to 90°, most intense first:
33.2°, d 2.701, I = 1000, hkl 2 2 0
59.3°, d 1.559, I = 375, hkl 4 2 2
47.6°, d 1.910, I = 181, hkl 4 0 0
79.3°, d 1.208, I = 164, hkl 6 2 0
69.6°, d 1.350, I = 116, hkl 4 4 0
88.7°, d 1.103, I = 43, hkl 4 4 4
20.1°, d 4.411, I = 40, hkl 1 1 1
39.1°, d 2.303, I = 25, hkl 3 1 1

Atomic structure:
Cell: 7.6394 7.6394 7.6394 Å, 90.00 90.00 90.00°
Space group Fm-3m (No. 225)
Symmetry-distinct sites (fractional):
1 Eu 0.2500 0.2500 0.2500
2 Ag 0.0000 0.0000 0.0000
3 Au 0.0000 0.0000 0.5000

(3)
The following is a simulated powder diffraction line list of Na2MnCl4. It was derived from a crystal structure in the Materials Project, relaxed with PBE, using Cu Kα (λ = 1.5418 Å).

Top 8 peaks for 2θ from 15° to 90°, most intense first:
27.3°, d 3.262, I = 1000, hkl 1 1 1
37.8°, d 2.381, I = 914, hkl 2 2 1
46.2°, d 1.964, I = 854, hkl 1 5 1
32.4°, d 2.765, I = 752, hkl 1 4 0
35.4°, d 2.534, I = 727, hkl 2 1 1
34.6°, d 2.591, I = 429, hkl 2 0 1
46.8°, d 1.939, I = 391, hkl 0 0 2
54.9°, d 1.673, I = 262, hkl 4 2 0

Atomic structure:
Cell: 6.9666 12.0494 3.8785 Å, 90.00 90.00 90.00°
Space group Pbam (No. 55)
Symmetry-distinct sites (fractional):
1 Na 0.0833 0.1813 0.0000
2 Mn 0.0000 0.5000 0.5000
3 Cl 0.1225 0.6950 0.5000
4 Cl 0.2376 0.4560 0.0000

Repeat the third record exactly.
The following is a simulated powder diffraction line list of Na2MnCl4. It was derived from a crystal structure in the Materials Project, relaxed with PBE, using Cu Kα (λ = 1.5418 Å).

Top 8 peaks for 2θ from 15° to 90°, most intense first:
27.3°, d 3.262, I = 1000, hkl 1 1 1
37.8°, d 2.381, I = 914, hkl 2 2 1
46.2°, d 1.964, I = 854, hkl 1 5 1
32.4°, d 2.765, I = 752, hkl 1 4 0
35.4°, d 2.534, I = 727, hkl 2 1 1
34.6°, d 2.591, I = 429, hkl 2 0 1
46.8°, d 1.939, I = 391, hkl 0 0 2
54.9°, d 1.673, I = 262, hkl 4 2 0

Atomic structure:
Cell: 6.9666 12.0494 3.8785 Å, 90.00 90.00 90.00°
Space group Pbam (No. 55)
Symmetry-distinct sites (fractional):
1 Na 0.0833 0.1813 0.0000
2 Mn 0.0000 0.5000 0.5000
3 Cl 0.1225 0.6950 0.5000
4 Cl 0.2376 0.4560 0.0000